Entry 1:
# Pa2GaMo
Computed powder diffraction line list, CuKα. Input: DFT lattice parameters and positions (PBE).

Most intense lines, 2θ = 10–90°, in order of falling intensity:
two_theta	I (rel.)	index
37.5	100.0	1 0 2
34.4	63.3	1 1 0
63.7	43.1	2 1 2
24.2	30.3	1 0 0
49.5	23.0	2 0 0
69.6	16.4	1 1 4

Crystal structure
a b c (Å): 3.684 3.684 6.317
angles (deg): 90.00 90.00 90.00
Space group P4/mmm (No. 123)
Unique sites:
Pa: 0.000 0.000 0.243
Ga: 0.500 0.500 0.000
Mo: 0.500 0.500 0.500

Entry 2:
# PuPaGaMo
Computed powder diffraction line list, CuKα. Input: DFT lattice parameters and positions (PBE).

Most intense lines, 2θ = 10–90°, in order of falling intensity:
two_theta	I (rel.)	index
36.4	100.0	2 2 0
65.4	36.7	4 2 2
25.5	25.1	2 0 0
52.4	17.8	4 0 0
88.5	17.0	6 2 0
77.2	11.5	4 4 0

Crystal structure
a b c (Å): 6.990 6.990 6.990
angles (deg): 90.00 90.00 90.00
Space group F-43m (No. 216)
Unique sites:
Pu: 0.000 0.000 0.000
Pa: 0.000 0.000 0.500
Ga: 0.250 0.250 0.250
Mo: 0.250 0.250 0.750

Entry 3:
# Ga4MoRh5
Computed powder diffraction line list, CuKα. Input: DFT lattice parameters and positions (PBE).

Most intense lines, 2θ = 10–90°, in order of falling intensity:
two_theta	I (rel.)	index
41.2	100.0	1 0 5
43.8	44.5	1 1 0
78.7	30.2	2 1 5
73.3	15.1	1 1 10
63.6	14.6	2 0 0
89.4	10.0	2 0 10

Crystal structure
a b c (Å): 2.925 2.925 16.540
angles (deg): 90.00 90.00 90.00
Space group P4/mmm (No. 123)
Unique sites:
Ga: 0.000 0.000 0.097
Ga: 0.000 0.000 0.291
Mo: 0.000 0.000 0.500
Rh: 0.500 0.500 0.000
Rh: 0.500 0.500 0.194
Rh: 0.500 0.500 0.388

Entry 4:
# GaMo4Se4S4
Computed powder diffraction line list, CuKα. Input: DFT lattice parameters and positions (PBE).

Most intense lines, 2θ = 10–90°, in order of falling intensity:
two_theta	I (rel.)	index
35.3	100.0	4 0 0
15.1	86.3	1 1 1
50.8	82.0	4 4 0
46.4	62.1	3 3 3
29.1	57.5	3 1 1
38.6	53.6	3 3 1

Crystal structure
a b c (Å): 10.166 10.166 10.166
angles (deg): 90.00 90.00 90.00
Space group F-43m (No. 216)
Unique sites:
Ga: 0.000 0.000 0.000
Mo: 0.099 0.099 0.401
Se: 0.137 0.137 0.137
S: 0.130 0.130 0.630

Entry 5:
# V8Ga3Mo4S24
Computed powder diffraction line list, CuKα. Input: DFT lattice parameters and positions (PBE).

Most intense lines, 2θ = 10–90°, in order of falling intensity:
two_theta	I (rel.)	index
36.9	100.0	2 0 2
30.4	65.4	1 1 2
15.7	65.3	0 1 1
18.2	58.4	1 0 1
52.9	37.0	0 0 6
30.7	33.8	2 1 -3

Crystal structure
a b c (Å): 6.859 9.742 11.935
angles (deg): 113.60 106.27 90.99
Space group P1 (No. 1)
Unique sites:
V: 0.000 0.000 0.000
V: 0.045 0.470 0.525
V: 0.183 0.186 0.383
V: 0.382 0.808 0.190
V: 0.525 0.524 0.049
V: 0.667 0.666 0.333
V: 0.716 0.141 0.858
V: 0.859 0.859 0.716
Ga: 0.261 0.866 0.524
Ga: 0.593 0.201 0.191
Ga: 0.927 0.536 0.859
Mo: 0.117 0.130 0.858
Mo: 0.324 0.331 0.660
Mo: 0.461 0.466 0.526
Mo: 0.783 0.795 0.190
S: 0.011 0.760 0.041
S: 0.161 0.908 0.341
S: 0.162 0.404 0.350
S: 0.178 0.894 0.858
S: 0.194 0.394 0.858
S: 0.317 0.063 0.191
S: 0.336 0.587 0.699
S: 0.339 0.573 0.191
S: 0.345 0.091 0.707
S: 0.487 0.736 0.012
S: 0.495 0.243 0.008
S: 0.513 0.227 0.519
S: 0.531 0.728 0.525
S: 0.650 0.396 0.857
S: 0.665 0.913 0.368
S: 0.673 0.906 0.858
S: 0.681 0.426 0.373
S: 0.820 0.071 0.680
S: 0.833 0.579 0.676
S: 0.844 0.558 0.191
S: 0.860 0.059 0.190
S: 0.985 0.728 0.524
S: 0.987 0.233 0.519
S: 0.999 0.248 0.036

Entry 6:
# VGaMo3S8
Computed powder diffraction line list, CuKα. Input: DFT lattice parameters and positions (PBE).

Most intense lines, 2θ = 10–90°, in order of falling intensity:
two_theta	I (rel.)	index
36.7	100.0	0 2 4
18.1	57.7	0 1 2
15.7	52.6	1 0 1
52.5	51.3	2 0 8
30.4	47.9	0 2 1
15.4	45.6	0 0 3

Crystal structure
a b c (Å): 6.8804 6.8804 17.2117
angles (deg): 90.00 90.00 120.00
Space group R3m (No. 160, hexagonal axes)
Unique sites:
V: 0.0000 0.0000 0.0000
Ga: 0.0000 0.0000 0.6084
Mo: 0.1988 0.3977 0.8087
S: 0.0000 0.0000 0.2417
S: 0.0000 0.0000 0.7433
S: 0.1732 0.3464 0.0588
S: 0.1814 0.3627 0.5613

Entry 7:
# GaMo4Se8
Computed powder diffraction line list, CuKα. Input: DFT lattice parameters and positions (PBE).

Most intense lines, 2θ = 10–90°, in order of falling intensity:
two_theta	I (rel.)	index
34.8	100.0	0 2 4
49.8	41.5	2 2 0
50.4	38.0	2 0 8
14.8	28.7	1 0 1
42.9	23.6	2 1 4
28.7	17.4	1 1 3

Crystal structure
a b c (Å): 7.3289 7.3289 17.6137
angles (deg): 90.00 90.00 120.00
Space group R3m (No. 160, hexagonal axes)
Unique sites:
Ga: 0.0000 0.0000 0.0000
Mo: 0.0000 0.0000 0.4056
Mo: 0.1981 0.3962 0.2005
Se: 0.0000 0.0000 0.1391
Se: 0.0000 0.0000 0.6349
Se: 0.1826 0.3653 0.4576
Se: 0.1834 0.3668 0.9566

Entry 8:
# Ga40SnMo8
Computed powder diffraction line list, CuKα. Input: DFT lattice parameters and positions (PBE).

Most intense lines, 2θ = 10–90°, in order of falling intensity:
two_theta	I (rel.)	index
44.7	100.0	6 0 0
43.5	99.8	2 2 6
39.8	99.0	5 -2 4
30.8	73.4	4 -2 3
41.5	73.1	0 3 6
39.5	60.3	3 1 5

Crystal structure
a b c (Å): 14.0435 14.0435 15.4951
angles (deg): 90.00 90.00 120.00
Space group R-3 (No. 148, hexagonal axes)
Unique sites:
Ga: 0.0000 0.0000 0.0000
Ga: 0.0000 0.5000 0.5000
Ga: 0.0043 0.1853 0.2782
Ga: 0.0093 0.6539 0.9310
Ga: 0.0127 0.1622 0.6231
Ga: 0.0141 0.8850 0.1528
Ga: 0.0317 0.5380 0.1599
Ga: 0.0892 0.5331 0.6703
Sn: 0.0000 0.0000 0.5000
Mo: 0.0000 0.0000 0.2800
Mo: 0.0165 0.7054 0.0947

Entry 9:
# GaTeMo2
Computed powder diffraction line list, CuKα. Input: DFT lattice parameters and positions (PBE).

Most intense lines, 2θ = 10–90°, in order of falling intensity:
two_theta	I (rel.)	index
39.4	100.0	2 2 0
71.5	33.3	4 2 2
57.0	16.5	4 0 0
84.8	10.7	4 4 0
23.8	4.1	1 1 1
46.6	2.0	3 1 1

Crystal structure
a b c (Å): 6.466 6.466 6.466
angles (deg): 90.00 90.00 90.00
Space group Fm-3m (No. 225)
Unique sites:
Ga: 0.000 0.000 0.000
Te: 0.000 0.000 0.500
Mo: 0.250 0.250 0.250

Entry 10:
# Ti6Ga12Mo
Computed powder diffraction line list, CuKα. Input: DFT lattice parameters and positions (PBE).

Most intense lines, 2θ = 10–90°, in order of falling intensity:
two_theta	I (rel.)	index
38.4	100.0	1 3 1
41.1	95.1	4 -1 2
43.0	45.4	0 1 5
40.0	44.2	0 3 3
43.3	37.1	3 -1 4
28.5	28.4	2 1 1

Crystal structure
a b c (Å): 9.9960 9.9960 10.8513
angles (deg): 90.00 90.00 120.00
Space group R-3 (No. 148, hexagonal axes)
Unique sites:
Ti: 0.0184 0.4297 0.2212
Ga: 0.0533 0.1945 0.3231
Ga: 0.0538 0.8628 0.8960
Mo: 0.0000 0.0000 0.5000

Entry 11:
# Ti5Ga8Mo
Computed powder diffraction line list, CuKα. Input: DFT lattice parameters and positions (PBE).

Most intense lines, 2θ = 10–90°, in order of falling intensity:
two_theta	I (rel.)	index
36.7	100.0	1 3 0
43.7	92.9	1 3 2
75.7	21.6	2 5 3
28.2	19.7	1 2 1
58.4	17.8	4 2 2
61.0	13.2	1 3 4

Crystal structure
a b c (Å): 7.740 7.740 7.746
angles (deg): 90.00 90.00 90.00
Space group I-4 (No. 82)
Unique sites:
Ti: 0.000 0.000 0.000
Ti: 0.111 0.812 0.599
Ga: 0.063 0.659 0.933
Ga: 0.116 0.813 0.260
Mo: 0.000 0.500 0.250

Entry 12:
# Ti4GaMo3
Computed powder diffraction line list, CuKα. Input: DFT lattice parameters and positions (PBE).

Most intense lines, 2θ = 10–90°, in order of falling intensity:
two_theta	I (rel.)	index
40.1	100.0	0 2 0
41.5	17.8	0 0 4
72.9	12.5	1 3 2
59.1	11.7	0 2 4
74.7	11.2	1 1 6
28.5	10.2	0 1 2

Crystal structure
a b c (Å): 3.244 4.494 8.713
angles (deg): 90.00 90.00 90.00
Space group Pmmm (No. 47)
Unique sites:
Ti: 0.000 0.000 0.000
Ti: 0.000 0.000 0.500
Ti: 0.000 0.500 0.240
Ga: 0.500 0.500 0.500
Mo: 0.500 0.000 0.257
Mo: 0.500 0.500 0.000